Simulated PXRD pattern of Rb3PbBr6 for Cu Kα, 1.54184 Å, from a crystal structure in Alexandria, relaxed with GGA-PBE.
No peak broadening, texture or thermal motion is included.

Crystal structure
```
data_Rb3PbBr6
_space_group_name_H-M_alt 'P 1'
_space_group_IT_number 1
_cell_length_a 8.208
_cell_length_b 8.793
_cell_length_c 14.153
_cell_angle_alpha 90.00
_cell_angle_beta 124.05
_cell_angle_gamma 90.00
loop_
_space_group_symop_operation_xyz
'x,y,z'
loop_
_atom_site_label
_atom_site_fract_x
_atom_site_fract_y
_atom_site_fract_z
Rb1 0.000 0.000 0.000
Rb2 0.000 0.500 0.500
Rb3 0.213 0.077 0.743
Rb4 0.213 0.423 0.243
Rb5 0.787 0.577 0.757
Rb6 0.787 0.923 0.257
Pb1 0.500 0.000 0.500
Pb2 0.500 0.500 0.000
Br1 0.160 0.178 0.445
Br2 0.160 0.322 0.945
Br3 0.256 0.726 0.422
Br4 0.256 0.774 0.922
Br5 0.403 0.059 0.272
Br6 0.403 0.441 0.772
Br7 0.597 0.559 0.228
Br8 0.597 0.941 0.728
Br9 0.744 0.226 0.078
Br10 0.744 0.274 0.578
Br11 0.840 0.678 0.055
Br12 0.840 0.822 0.555
```

Main lines, sorted by position (2θ from 10° to 90°):
d_spacing	I/Imax	hkl
7.035	89	0 1 1
5.999	80	1 1 -1
4.231	82	1 1 1
4.157	77	1 1 -3
3.566	70	2 1 -1
3.249	67	1 1 -4
3.000	100	2 2 -2
2.763	59	1 3 -1
2.691	84	2 2 0
2.407	75	3 1 -1